Computed powder diffractogram
Compound: Tb3Pr2In3
Radiation: CuKα
Structure: a cell relaxed with PBE
Intensities are scaled so that the largest is 100.

Structure:
abc: 4.5403 4.9435 20.6237
angles: 90.00 90.00 90.00
Space group Immm (No. 71)
Unique sites:
Tb1 0.0000 0.0000 0.0000
Tb2 0.0000 0.5000 0.1166
Pr1 0.0000 0.0000 0.2384
In1 0.0000 0.0000 0.5000
In2 0.0000 0.5000 0.3791

Peak list (12 most intense, 2θ from 10° to 90°, low angle first)
| d/Å | I/Imax | hkl |
| --- | --- | --- |
| 2.806 | 100 | 1 1 4 |
| 2.578 | 18 | 0 0 8 |
| 2.472 | 19 | 0 2 0 |
| 2.270 | 14 | 2 0 0 |
| 1.784 | 12 | 0 2 8 |
| 1.704 | 10 | 2 0 8 |
| 1.672 | 11 | 2 2 0 |
| 1.529 | 12 | 1 1 12 |
| 1.483 | 14 | 1 3 4 |
| 1.403 | 10 | 2 2 8 |
| 1.393 | 11 | 3 1 4 |
| 1.151 | 5 | 1 3 12 |

Computed powder diffractogram
Compound: Tb12Pr6In
Radiation: CuKα
Structure: a cell relaxed with PBE
Intensities are scaled so that the largest is 100.

Structure:
abc: 12.0364 12.0364 15.0700
angles: 90.00 90.00 120.00
Space group R-3 (No. 148, hexagonal axes)
Unique sites:
Tb1 0.9998 0.1718 0.1861
Tb2 0.0461 0.1940 0.4161
Pr1 0.0131 0.5908 0.6832
In1 0.0000 0.0000 0.0000

Peak list (12 most intense, 2θ from 10° to 90°, low angle first)
| d/Å | I/Imax | hkl |
| --- | --- | --- |
| 3.856 | 9 | 2 -1 3 |
| 3.812 | 15 | 3 -1 1 |
| 2.895 | 42 | 0 1 5 |
| 2.858 | 29 | 0 3 3 |
| 2.839 | 100 | 4 -3 1 |
| 2.723 | 71 | 2 1 4 |
| 2.699 | 27 | 3 1 2 |
| 2.581 | 19 | 4 -2 3 |
| 2.019 | 15 | 3 2 4 |
| 1.670 | 19 | 2 5 0 |
| 1.590 | 11 | 1 5 5 |
| 1.464 | 11 | 2 2 9 |

Computed powder diffractogram
Compound: TbPr12In3
Radiation: CuKα
Structure: a cell relaxed with PBE
Intensities are scaled so that the largest is 100.

Structure:
abc: 5.0379 5.0379 20.5434
angles: 90.00 90.00 90.00
Space group P4/mmm (No. 123)
Unique sites:
Tb1 0.0000 0.0000 0.0000
Pr1 0.0000 0.5000 0.1311
Pr2 0.0000 0.5000 0.3770
Pr3 0.5000 0.5000 0.0000
Pr4 0.5000 0.5000 0.2545
Pr5 0.5000 0.5000 0.5000
In1 0.0000 0.0000 0.2555
In2 0.0000 0.0000 0.5000

Peak list (12 most intense, 2θ from 10° to 90°, low angle first)
| d/Å | I/Imax | hkl |
| --- | --- | --- |
| 2.927 | 100 | 1 1 4 |
| 2.568 | 17 | 0 0 8 |
| 2.519 | 33 | 2 0 0 |
| 1.798 | 23 | 2 0 8 |
| 1.781 | 12 | 2 2 0 |
| 1.543 | 13 | 1 1 12 |
| 1.522 | 28 | 3 1 4 |
| 1.464 | 12 | 2 2 8 |
| 1.166 | 11 | 3 1 12 |
| 1.157 | 6 | 3 3 4 |
| 1.131 | 5 | 4 0 8 |
| 1.127 | 5 | 4 2 0 |

Computed powder diffractogram
Compound: TbPr6In6
Radiation: CuKα
Structure: a cell relaxed with PBE
Intensities are scaled so that the largest is 100.

Structure:
abc: 6.4252 6.4252 11.2000
angles: 90.00 90.00 120.00
Space group P6/mmm (No. 191)
Unique sites:
Tb1 0.0000 0.0000 0.0000
Pr1 0.0000 0.0000 0.3313
Pr2 0.3333 0.6667 0.0000
Pr3 0.3333 0.6667 0.5000
In1 0.0000 0.5000 0.2464

Peak list (12 most intense, 2θ from 10° to 90°, low angle first)
| d/Å | I/Imax | hkl |
| --- | --- | --- |
| 3.213 | 43 | 1 1 0 |
| 3.100 | 27 | 1 0 3 |
| 2.800 | 28 | 0 0 4 |
| 2.785 | 100 | 2 0 0 |
| 2.501 | 17 | 1 0 4 |
| 2.492 | 68 | 2 0 2 |
| 1.761 | 16 | 3 0 2 |
| 1.614 | 29 | 1 1 6 |
| 1.606 | 27 | 2 2 0 |
| 1.393 | 19 | 2 2 4 |
| 1.351 | 14 | 4 0 2 |
| 1.316 | 14 | 3 0 6 |

Computed powder diffractogram
Compound: Tb2Pr3In6
Radiation: CuKα
Structure: a cell relaxed with PBE
Intensities are scaled so that the largest is 100.

Structure:
abc: 4.7908 4.7908 29.2122
angles: 90.00 90.00 90.00
Space group I4/mmm (No. 139)
Unique sites:
Tb1 0.0000 0.0000 0.0538
Pr1 0.0000 0.0000 0.2983
Pr2 0.0000 0.0000 0.5000
In1 0.0000 0.0000 0.1879
In2 0.0000 0.5000 0.1183

Peak list (12 most intense, 2θ from 10° to 90°, low angle first)
| d/Å | I/Imax | hkl |
| --- | --- | --- |
| 3.705 | 16 | 1 0 5 |
| 3.388 | 27 | 1 1 0 |
| 3.073 | 100 | 1 1 4 |
| 2.687 | 50 | 1 0 9 |
| 2.483 | 100 | 1 1 8 |
| 2.395 | 87 | 2 0 0 |
| 1.788 | 30 | 2 1 9 |
| 1.694 | 30 | 2 2 0 |
| 1.483 | 22 | 3 1 4 |
| 1.452 | 16 | 2 0 16 |
| 1.399 | 32 | 3 1 8 |
| 1.341 | 20 | 1 1 20 |

Computed powder diffractogram
Compound: TbPr14In
Radiation: CuKα
Structure: a cell relaxed with PBE
Intensities are scaled so that the largest is 100.

Structure:
abc: 7.3154 7.3154 10.3936
angles: 90.00 90.00 90.00
Space group P4/mmm (No. 123)
Unique sites:
Tb1 0.0000 0.0000 0.0000
Pr1 0.0000 0.0000 0.5000
Pr2 0.0000 0.5000 0.0000
Pr3 0.0000 0.5000 0.5000
Pr4 0.2526 0.2526 0.2441
Pr5 0.5000 0.5000 0.5000
In1 0.5000 0.5000 0.0000

Peak list (12 most intense, 2θ from 10° to 90°, low angle first)
| d/Å | I/Imax | hkl |
| --- | --- | --- |
| 2.991 | 100 | 2 0 2 |
| 2.598 | 17 | 0 0 4 |
| 2.586 | 34 | 2 2 0 |
| 1.833 | 24 | 2 2 4 |
| 1.829 | 12 | 4 0 0 |
| 1.566 | 14 | 2 0 6 |
| 1.560 | 29 | 4 2 2 |
| 1.496 | 12 | 4 0 4 |
| 1.189 | 11 | 4 2 6 |
| 1.187 | 6 | 6 0 2 |
| 1.161 | 5 | 2 2 8 |
| 1.157 | 11 | 6 2 0 |

Computed powder diffractogram
Compound: Tb4PrIn
Radiation: CuKα
Structure: a cell relaxed with PBE
Intensities are scaled so that the largest is 100.

Structure:
abc: 5.5516 6.8978 9.7059
angles: 90.00 90.00 90.00
Space group Pmmn (No. 59, origin choice 2)
Unique sites:
Tb1 0.2500 0.0041 0.2407
Tb2 0.2500 0.2500 0.6127
Tb3 0.2500 0.7500 0.9195
Pr1 0.2500 0.7500 0.5727
In1 0.2500 0.2500 0.9317

Peak list (12 most intense, 2θ from 10° to 90°, low angle first)
| d/Å | I/Imax | hkl |
| --- | --- | --- |
| 2.807 | 100 | 1 2 1 |
| 2.795 | 67 | 1 0 3 |
| 2.776 | 36 | 2 0 0 |
| 1.985 | 12 | 0 2 4 |
| 1.975 | 23 | 2 2 2 |
| 1.724 | 9 | 0 4 0 |
| 1.618 | 15 | 0 0 6 |
| 1.614 | 12 | 2 2 4 |
| 1.607 | 26 | 3 0 3 |
| 1.468 | 19 | 1 4 3 |
| 1.465 | 10 | 2 4 0 |
| 1.175 | 9 | 3 4 3 |

Computed powder diffractogram
Compound: Pr4InTe3
Radiation: CuKα
Structure: a cell relaxed with PBE
Intensities are scaled so that the largest is 100.

Structure:
abc: 6.4199 6.4199 6.4199
angles: 90.00 90.00 90.00
Space group Pm-3m (No. 221)
Unique sites:
Pr1 0.0000 0.0000 0.0000
Pr2 0.0000 0.5000 0.5000
In1 0.5000 0.5000 0.5000
Te1 0.0000 0.0000 0.5000

Peak list (9 most intense, 2θ from 10° to 90°, low angle first)
| d/Å | I/Imax | hkl |
| --- | --- | --- |
| 3.707 | 1 | 1 1 1 |
| 3.210 | 100 | 2 0 0 |
| 2.270 | 77 | 2 2 0 |
| 1.936 | 1 | 3 1 1 |
| 1.853 | 28 | 2 2 2 |
| 1.605 | 13 | 4 0 0 |
| 1.436 | 35 | 4 2 0 |
| 1.310 | 26 | 4 2 2 |
| 1.135 | 8 | 4 4 0 |

Computed powder diffractogram
Compound: PrIn3Te3
Radiation: CuKα
Structure: a cell relaxed with PBE
Intensities are scaled so that the largest is 100.

Structure:
abc: 8.9175 8.9184 9.3097
angles: 61.41 89.95 60.01
Space group P-1 (No. 2)
Unique sites:
Pr1 0.1657 0.1687 0.4969
In1 0.1762 0.9710 0.1459
In2 0.3529 0.5303 0.1457
In3 0.3828 0.2937 0.8535
Te1 0.0169 0.3396 0.7432
Te2 0.1432 0.7742 0.7430
Te3 0.4177 0.0998 0.2566

Peak list (12 most intense, 2θ from 10° to 90°, low angle first)
| d/Å | I/Imax | hkl |
| --- | --- | --- |
| 4.649 | 41 | 1 1 -1 |
| 3.873 | 63 | 0 0 2 |
| 2.928 | 91 | 2 1 2 |
| 2.897 | 100 | 2 3 1 |
| 2.832 | 95 | 3 2 1 |
| 2.520 | 53 | 0 2 -1 |
| 2.238 | 24 | 2 1 -3 |
| 2.194 | 22 | 1 3 4 |
| 2.143 | 29 | 4 2 -1 |
| 2.061 | 22 | 3 1 -3 |
| 1.466 | 24 | 2 -2 2 |
| 1.460 | 26 | -3 3 4 |

Computed powder diffractogram
Compound: Pr5InTe4
Radiation: CuKα
Structure: a cell relaxed with PBE
Intensities are scaled so that the largest is 100.

Structure:
abc: 10.1711 10.1711 6.4109
angles: 90.00 90.00 90.00
Space group I4/m (No. 87)
Unique sites:
Pr1 0.0000 0.0000 0.0000
Pr2 0.0979 0.2961 0.5000
In1 0.0000 0.0000 0.5000
Te1 0.0985 0.3004 0.0000

Peak list (12 most intense, 2θ from 10° to 90°, low angle first)
| d/Å | I/Imax | hkl |
| --- | --- | --- |
| 3.710 | 1 | 2 1 1 |
| 3.213 | 100 | 1 3 0 |
| 2.272 | 77 | 4 2 0 |
| 1.855 | 27 | 4 2 2 |
| 1.608 | 9 | 2 6 0 |
| 1.603 | 4 | 0 0 4 |
| 1.438 | 24 | 7 1 0 |
| 1.434 | 12 | 1 3 4 |
| 1.312 | 17 | 7 1 2 |
| 1.310 | 9 | 4 2 4 |
| 1.137 | 3 | 8 4 0 |
| 1.135 | 6 | 2 6 4 |

Computed powder diffractogram
Compound: Pr3InTe4
Radiation: CuKα
Structure: a cell relaxed with PBE
Intensities are scaled so that the largest is 100.

Structure:
abc: 4.5141 4.5141 31.4833
angles: 90.00 90.00 120.00
Space group P6_3/mmc (No. 194)
Unique sites:
Pr1 0.0000 0.0000 0.0000
Pr2 0.3333 0.6667 0.1187
In1 0.3333 0.6667 0.7500
Te1 0.0000 0.0000 0.1781
Te2 0.3333 0.6667 0.5595

Peak list (12 most intense, 2θ from 10° to 90°, low angle first)
| d/Å | I/Imax | hkl |
| --- | --- | --- |
| 3.321 | 79 | 1 0 5 |
| 3.135 | 100 | 1 0 6 |
| 2.951 | 14 | 1 0 7 |
| 2.452 | 15 | 1 0 10 |
| 2.309 | 39 | 1 0 11 |
| 2.257 | 75 | 1 1 0 |
| 2.178 | 20 | 1 0 12 |
| 1.867 | 15 | 2 0 5 |
| 1.832 | 21 | 2 0 6 |
| 1.483 | 28 | 1 1 16 |
| 1.439 | 13 | 2 1 5 |
| 1.422 | 18 | 2 1 6 |

Computed powder diffractogram
Compound: PrThIn2
Radiation: CuKα
Structure: a cell relaxed with PBE
Intensities are scaled so that the largest is 100.

Structure:
abc: 5.7620 3.5205 11.5732
angles: 90.00 90.00 90.00
Space group Pmma (No. 51)
Unique sites:
Pr1 0.2500 0.0000 0.1220
Th1 0.2500 0.0000 0.6197
In1 0.2500 0.5000 0.3699
In2 0.2500 0.5000 0.8714

Peak list (12 most intense, 2θ from 10° to 90°, low angle first)
| d/Å | I/Imax | hkl |
| --- | --- | --- |
| 4.083 | 7 | 1 0 2 |
| 2.893 | 31 | 0 0 4 |
| 2.881 | 31 | 2 0 0 |
| 2.666 | 100 | 1 1 2 |
| 2.042 | 23 | 2 0 4 |
| 1.760 | 7 | 0 2 0 |
| 1.623 | 22 | 1 1 6 |
| 1.619 | 23 | 3 1 2 |
| 1.503 | 17 | 2 2 0 |
| 1.333 | 12 | 2 2 4 |
| 1.269 | 10 | 3 1 6 |
| 1.128 | 7 | 1 3 2 |

Computed powder diffractogram
Compound: Pr2TiIn8
Radiation: CuKα
Structure: a cell relaxed with PBE
Intensities are scaled so that the largest is 100.

Structure:
abc: 4.6790 4.6790 12.9960
angles: 90.00 90.00 90.00
Space group P4/mmm (No. 123)
Unique sites:
Pr1 0.0000 0.0000 0.1850
Ti1 0.0000 0.0000 0.5000
In1 0.0000 0.5000 0.0000
In2 0.0000 0.5000 0.3712
In3 0.5000 0.5000 0.1859

Peak list (12 most intense, 2θ from 10° to 90°, low angle first)
| d/Å | I/Imax | hkl |
| --- | --- | --- |
| 3.206 | 8 | 1 1 1 |
| 2.948 | 29 | 1 1 2 |
| 2.629 | 100 | 1 1 3 |
| 2.599 | 17 | 0 0 5 |
| 2.340 | 46 | 2 0 0 |
| 1.739 | 20 | 2 0 5 |
| 1.654 | 15 | 2 2 0 |
| 1.589 | 9 | 2 0 6 |
| 1.458 | 17 | 1 1 8 |
| 1.400 | 27 | 3 1 3 |
| 1.396 | 9 | 2 2 5 |
| 1.094 | 14 | 3 1 8 |